Structure and computed powder X-ray diffraction pattern of Dy5AlCd2 (a crystal structure in Alexandria, relaxed with PBE; copper Kα).
Neutral-atom scattering factors, no anomalous dispersion.

Atomic structure:
Lattice parameters (Å, degrees): 9.283 9.283 9.283 130.86 130.86 72.03
Element x y z (fractional)
Dy  0.000  0.000  0.000
Dy  0.008  0.508  0.829
Dy  0.178  0.008  0.500
Dy  0.322  0.822  0.829
Dy  0.492  0.322  0.500
Dy  0.500  0.500  0.000
Dy  0.508  0.678  0.500
Dy  0.678  0.178  0.171
Dy  0.822  0.992  0.500
Dy  0.992  0.492  0.171
Al  0.250  0.250  0.000
Al  0.750  0.750  0.000
Cd  0.129  0.371  0.500
Cd  0.371  0.871  0.242
Cd  0.629  0.129  0.758
Cd  0.871  0.629  0.500

Principal peaks in the range 5° ≤ 2θ ≤ 70°, low angle first:
- 25.96 deg, 3.433 Å, I 114
- 31.48 deg, 2.842 Å, I 1000
- 33.29 deg, 2.691 Å, I 158
- 35.88 deg, 2.503 Å, I 197
- 36.82 deg, 2.441 Å, I 321
- 50.11 deg, 1.820 Å, I 93
- 52.16 deg, 1.753 Å, I 132
- 52.36 deg, 1.747 Å, I 180
- 61.75 deg, 1.502 Å, I 118
- 68.04 deg, 1.378 Å, I 119